No. 1
Calculated powder X-ray diffraction pattern
Compound: Y2Tm12Sc
Radiation: copper Kα
Structure: a GGA-PBE-relaxed structure
Peak positions follow from Bragg's law for the DFT cell and can differ from measured ones.

The 8 most intense peaks (2θ from 10° to 90°), in order of rising 2θ:
d = 4.202 Å, 21.1 deg, intensity 45; d = 3.064 Å, 29.1 deg, intensity 85; d = 2.811 Å, 31.8 deg, intensity 67; d = 2.744 Å, 32.6 deg, intensity 65; d = 2.701 Å, 33.2 deg, intensity 58; d = 2.674 Å, 33.5 deg, intensity 100; d = 2.321 Å, 38.8 deg, intensity 55; d = 1.609 Å, 57.3 deg, intensity 51

Cell and atoms:
```
Y2Tm12Sc
1.0
6.333 0.000 0.000
0.000 6.333 0.000
0.000 0.000 24.306
Y Tm Sc
4 24 2
Direct
0.250 0.750 0.227
0.250 0.750 0.773
0.750 0.250 0.227
0.750 0.250 0.773
0.063 0.563 0.389
0.063 0.937 0.611
0.081 0.581 0.061
0.081 0.919 0.939
0.250 0.250 0.161
0.250 0.250 0.288
0.250 0.250 0.712
0.250 0.250 0.839
0.419 0.581 0.939
0.419 0.919 0.061
0.437 0.563 0.611
0.437 0.937 0.389
0.563 0.063 0.611
0.563 0.437 0.389
0.581 0.081 0.939
0.581 0.419 0.061
0.750 0.750 0.161
0.750 0.750 0.288
0.750 0.750 0.712
0.750 0.750 0.839
0.919 0.081 0.061
0.919 0.419 0.939
0.937 0.063 0.389
0.937 0.437 0.611
0.250 0.750 0.500
0.750 0.250 0.500
```

No. 2
Calculated powder X-ray diffraction pattern
Compound: B2Rh3
Radiation: copper Kα
Structure: a GGA-PBE-relaxed structure
Peak positions follow from Bragg's law for the DFT cell and can differ from measured ones.

The 8 most intense peaks (2θ from 10° to 90°), in order of rising 2θ:
d = 2.678 Å, 33.5 deg, intensity 100; d = 2.553 Å, 35.1 deg, intensity 44; d = 2.151 Å, 42.0 deg, intensity 58; d = 1.889 Å, 48.2 deg, intensity 40; d = 1.780 Å, 51.3 deg, intensity 34; d = 1.645 Å, 55.9 deg, intensity 26; d = 1.267 Å, 75.0 deg, intensity 18; d = 1.219 Å, 78.4 deg, intensity 17

Cell and atoms:
```
B2Rh3
1.0
0.000 6.098 1.899
5.106 0.000 1.899
5.106 6.098 0.000
B Rh
4 6
Direct
0.240 0.760 0.417
0.667 0.833 0.490
0.760 0.240 0.583
0.833 0.667 0.010
0.066 0.417 0.098
0.152 0.831 0.184
0.417 0.066 0.419
0.493 0.493 0.507
0.743 0.743 0.757
0.831 0.152 0.833
```